For Lu4SbPC2, a structure optimized by DFT (PBE) gives the simulated X-ray powder pattern in this record (Cu Kα).
Lines closer than 0.1° are merged.

Atomic structure:
Cell: 3.5786 3.5786 13.9779 Å, 90.00 90.00 120.00°
Fractional coordinates of all 8 atoms:
Lu 0.0000 0.0000 0.1341
Lu 0.0000 0.0000 0.8659
Lu 0.3333 0.6667 0.3199
Lu 0.3333 0.6667 0.6801
Sb 0.0000 0.0000 0.5000
P 0.3333 0.6667 0.0000
C 0.6667 0.3333 0.2345
C 0.6667 0.3333 0.7655

Peak list (10 most intense, 2θ from 10° to 90°, by intensity)
d/Å  I/Imax
2.580  100
3.099  30
1.789  28
1.522  18
1.470  18
2.833  16
1.136  16
3.026  13
2.796  13
1.507  12

---

For HgGeTeO, a structure optimized by DFT (PBE) gives the simulated X-ray powder pattern in this record (Cu Kα).
Lines closer than 0.1° are merged.

Atomic structure:
Cell: 6.0058 9.3020 13.4997 Å, 90.00 90.00 90.00°
Fractional coordinates of all 32 atoms:
Hg 0.2389 0.1465 0.0552
Hg 0.2389 0.3535 0.5552
Hg 0.2611 0.6465 0.0552
Hg 0.2611 0.8535 0.5552
Hg 0.7389 0.1465 0.4448
Hg 0.7389 0.3535 0.9448
Hg 0.7611 0.6465 0.4448
Hg 0.7611 0.8535 0.9448
Ge 0.2422 0.2459 0.7378
Ge 0.2422 0.2541 0.2378
Ge 0.2578 0.7459 0.7378
Ge 0.2578 0.7541 0.2378
Ge 0.7422 0.2459 0.7622
Ge 0.7422 0.2541 0.2622
Ge 0.7578 0.7459 0.7622
Ge 0.7578 0.7541 0.2622
Te 0.2413 0.1051 0.4211
Te 0.2413 0.3949 0.9211
Te 0.2587 0.6051 0.4211
Te 0.2587 0.8949 0.9211
Te 0.7413 0.1051 0.0789
Te 0.7413 0.3949 0.5789
Te 0.7587 0.6051 0.0789
Te 0.7587 0.8949 0.5789
O 0.0076 0.6315 0.7492
O 0.0076 0.8685 0.2492
O 0.4924 0.1315 0.7492
O 0.4924 0.3685 0.2492
O 0.5076 0.6315 0.7508
O 0.5076 0.8685 0.2508
O 0.9924 0.1315 0.7508
O 0.9924 0.3685 0.2508

Peak list (10 most intense, 2θ from 10° to 90°, by intensity)
d/Å  I/Imax
3.234  100
2.200  70
3.003  57
6.750  42
1.843  29
1.774  28
2.335  24
4.397  20
2.481  20
2.744  16

---

For BaPPd3, a structure optimized by DFT (PBE) gives the simulated X-ray powder pattern in this record (Cu Kα).
Lines closer than 0.1° are merged.

Atomic structure:
Cell: 11.8039 11.8039 11.8039 Å, 134.80 134.80 65.84°
Fractional coordinates of all 40 atoms:
Ba 0.0000 0.0000 0.0000
Ba 0.2140 0.2140 0.0000
Ba 0.2328 0.7328 0.5000
Ba 0.4742 0.9742 0.5000
Ba 0.4828 0.4828 0.0000
Ba 0.7242 0.7242 0.0000
Ba 0.7500 0.2500 0.5000
Ba 0.9640 0.4640 0.5000
P 0.1385 0.1484 0.5010
P 0.1385 0.6375 0.9901
P 0.3875 0.3885 0.4901
P 0.3875 0.8974 0.9990
P 0.6474 0.1484 0.0099
P 0.6474 0.6375 0.4990
P 0.8984 0.3885 0.0010
P 0.8984 0.8974 0.5099
Pd 0.0143 0.0145 0.4999
Pd 0.0143 0.5143 0.9998
Pd 0.1037 0.4040 0.3003
Pd 0.1037 0.8034 0.6997
Pd 0.1075 0.8549 0.2526
Pd 0.1540 0.3537 0.8003
Pd 0.2643 0.2643 0.4998
Pd 0.2643 0.7646 0.0001
Pd 0.3528 0.1002 0.7474
Pd 0.3528 0.6054 0.2526
Pd 0.3554 0.6028 0.7526
Pd 0.4190 0.1100 0.3090
Pd 0.5146 0.0145 0.0002
Pd 0.5146 0.5143 0.5001
Pd 0.5534 0.3537 0.1997
Pd 0.6023 0.8549 0.7474
Pd 0.6049 0.3575 0.7526
Pd 0.6049 0.8523 0.2474
Pd 0.7645 0.2643 0.9999
Pd 0.7645 0.7646 0.5002
Pd 0.8010 0.1100 0.6910
Pd 0.8502 0.6028 0.2474
Pd 0.8600 0.0510 0.1910
Pd 0.8600 0.6690 0.8090

Peak list (10 most intense, 2θ from 10° to 90°, by intensity)
d/Å  I/Imax
2.693  100
2.268  43
1.378  17
2.174  15
2.477  15
1.673  13
1.604  12
3.346  9
1.961  9
1.570  8

---

For Lu2ZnPt, a structure optimized by DFT (PBE) gives the simulated X-ray powder pattern in this record (Cu Kα).
Lines closer than 0.1° are merged.

Atomic structure:
Cell: 4.0175 4.0175 13.8148 Å, 90.00 90.00 120.00°
Fractional coordinates of all 8 atoms:
Lu 0.3333 0.6667 0.1093
Lu 0.3333 0.6667 0.3907
Lu 0.6667 0.3333 0.6093
Lu 0.6667 0.3333 0.8907
Zn 0.3333 0.6667 0.7500
Zn 0.6667 0.3333 0.2500
Pt 0.0000 0.0000 0.0000
Pt 0.0000 0.0000 0.5000

Peak list (10 most intense, 2θ from 10° to 90°, by intensity)
d/Å  I/Imax
2.776  100
2.009  69
2.451  66
6.907  47
3.107  47
1.920  34
1.309  27
3.374  25
1.627  20
1.264  17

---

For ZnSi17Ge13P, a structure optimized by DFT (PBE) gives the simulated X-ray powder pattern in this record (Cu Kα).
Lines closer than 0.1° are merged.

Atomic structure:
Cell: 5.5846 3.9372 31.5180 Å, 90.00 90.02 90.00°
Fractional coordinates of all 32 atoms:
Zn 0.0000 0.0000 0.0000
Si 0.0104 0.0000 0.7476
Si 0.0107 0.0000 0.5015
Si 0.0121 0.0000 0.2487
Si 0.0226 0.0000 0.6252
Si 0.2649 0.5000 0.6261
Si 0.2704 0.5000 0.1267
Si 0.2737 0.5000 0.3772
Si 0.5186 0.5000 0.6862
Si 0.5210 0.5000 0.4377
Si 0.5228 0.5000 0.1868
Si 0.5292 0.5000 0.9378
Si 0.7621 0.0000 0.1884
Si 0.7617 0.0000 0.4402
Si 0.7633 0.0000 0.6858
Si 0.7634 0.0000 0.9369
Si 0.7739 0.0000 0.0639
Si 0.7744 0.0000 0.8101
Ge 0.0094 0.0000 0.8744
Ge 0.0202 0.0000 0.1267
Ge 0.0231 0.0000 0.3781
Ge 0.2623 0.5000 0.2482
Ge 0.2633 0.5000 0.4997
Ge 0.2632 0.5000 0.7484
Ge 0.2715 0.5000 0.8764
Ge 0.2774 0.5000 0.9998
Ge 0.5114 0.5000 0.3133
Ge 0.5244 0.5000 0.8121
Ge 0.5257 0.5000 0.0647
Ge 0.5266 0.5000 0.5639
Ge 0.7737 0.0000 0.3127
P 0.7862 0.0000 0.5638

Peak list (10 most intense, 2θ from 10° to 90°, by intensity)
d/Å  I/Imax
3.219  100
1.971  71
1.680  28
1.137  15
1.683  14
1.279  12
1.139  8
1.392  8
7.879  6
4.557  5

---

For LuSc2Cu4Sn4, a structure optimized by DFT (PBE) gives the simulated X-ray powder pattern in this record (Cu Kα).
Lines closer than 0.1° are merged.

Atomic structure:
Cell: 8.2212 8.2212 8.2212 Å, 149.62 129.77 59.85°
Fractional coordinates of all 11 atoms:
Lu 0.0000 0.0000 0.0000
Sc 0.3721 0.8721 0.5000
Sc 0.6279 0.1279 0.5000
Cu 0.0181 0.3274 0.6907
Cu 0.3633 0.6726 0.6907
Cu 0.6367 0.3274 0.3093
Cu 0.9819 0.6726 0.3093
Sn 0.2192 0.2192 0.0000
Sn 0.2998 0.5000 0.7998
Sn 0.7002 0.5000 0.2002
Sn 0.7808 0.7808 0.0000

Peak list (10 most intense, 2θ from 10° to 90°, by intensity)
d/Å  I/Imax
2.664  100
2.555  81
1.965  78
2.154  43
3.666  30
2.639  26
3.563  25
2.089  23
2.375  21
1.309  21